Li9V3W7O28: computed powder diffraction line list (Cu Ka), based on a structure optimized by DFT (PBE+U).

Cell: 12.0934 12.0934 14.8194 Å, 90.00 90.00 120.00°
Space group R3m (No. 160, hexagonal axes)
One atom of each set of equivalent atoms:
Li 0.0631 0.3879 0.0000 x18
Li 0.1757 0.0879 0.7092 x9
V 0.0131 0.5066 0.8436 x9
W 0.0000 0.0000 0.3205 x3
W 0.0013 0.5006 0.4708 x9
W 0.0944 0.1888 0.5182 x9
O 0.0000 0.0000 0.5770 x3
O 0.0000 0.5000 0.5924 x9
O 0.0214 0.5107 0.0989 x9
O 0.0834 0.1668 0.2731 x9
O 0.0827 0.4129 0.7621 x18
O 0.0850 0.1700 0.7630 x9
O 0.0990 0.4308 0.2568 x18
O 0.1522 0.0761 0.4379 x9

The 10 most intense peaks (2θ from 15° to 90°), most intense first:
2θ/deg, Rel. int., (hkl)
17.96, 100, 0 0 3
31.38, 78, 3 0 3
25.51, 64, 3 0 0
46.27, 36, 0 4 5
33.12, 32, 3 1 2
43.63, 30, 4 1 3
29.54, 29, 2 2 0
61.31, 27, 4 4 0
23.25, 24, 1 1 3
47.54, 21, 2 2 6